Record 1
Simulated powder diffractogram
Compound: MgSn3
Radiation: Cu Kα
Structure: a PBE-relaxed structure
Kinematic intensities with the Lorentz-polarization factor, no thermal factor.

Cell and atoms:
Cell lengths 4.723, 4.723, 4.723 Å; angles 90.00, 90.00, 90.00 degrees
Positions (direct):
Mg: 0.000 0.000 0.000
Sn: 0.000 0.500 0.500
Sn: 0.500 0.000 0.500
Sn: 0.500 0.500 0.000

Largest 10 diffraction maxima, most intense first, 2θ from 10° to 80°:
d (Å), 2theta, I/Imax
2.727, 32.8, 100
2.362, 38.1, 50
1.424, 65.5, 43
1.670, 55.0, 36
4.723, 18.8, 17
3.340, 26.7, 15
1.364, 68.9, 12
2.112, 42.8, 9
1.928, 47.1, 7
1.574, 58.6, 5

=====

Record 2
Simulated powder diffractogram
Compound: Li2CuSiO4
Radiation: Cu Kα
Structure: a PBE-relaxed structure
Kinematic intensities with the Lorentz-polarization factor, no thermal factor.

Cell and atoms:
Cell lengths 5.011, 5.456, 7.751 Å; angles 90.00, 127.94, 90.00 degrees
Positions (direct):
Li: 0.000 0.153 0.000
Li: 0.000 0.847 0.500
Li: 0.247 0.325 0.754
Li: 0.247 0.675 0.254
Cu: 0.739 0.331 0.238
Cu: 0.739 0.669 0.738
Si: 0.493 0.181 0.500
Si: 0.493 0.819 0.000
O: 0.165 0.181 0.498
O: 0.165 0.819 0.998
O: 0.379 0.323 0.275
O: 0.379 0.677 0.775
O: 0.604 0.105 0.003
O: 0.604 0.895 0.503
O: 0.818 0.320 0.722
O: 0.818 0.680 0.222

Largest 10 diffraction maxima, most intense first, 2θ from 10° to 80°:
d (Å), 2theta, I/Imax
4.071, 21.8, 100
3.799, 23.4, 65
3.952, 22.5, 63
2.667, 33.6, 60
2.503, 35.9, 58
1.563, 59.1, 34
2.728, 32.8, 34
2.389, 37.7, 31
2.396, 37.5, 23
2.320, 38.8, 23

=====

Record 3
Simulated powder diffractogram
Compound: KAl11O17
Radiation: Cu Kα
Structure: a PBE-relaxed structure
Kinematic intensities with the Lorentz-polarization factor, no thermal factor.

Cell and atoms:
Cell lengths 11.922, 11.922, 11.922 Å; angles 27.42, 27.42, 27.42 degrees
Positions (direct):
K: 0.000 0.000 0.000
Al: 0.074 0.074 0.576
Al: 0.074 0.576 0.074
Al: 0.170 0.170 0.170
Al: 0.268 0.268 0.763
Al: 0.268 0.763 0.268
Al: 0.521 0.521 0.521
Al: 0.576 0.074 0.074
Al: 0.621 0.621 0.621
Al: 0.721 0.721 0.721
Al: 0.763 0.268 0.268
Al: 0.820 0.820 0.820
O: 0.076 0.076 0.076
O: 0.077 0.573 0.573
O: 0.262 0.770 0.770
O: 0.265 0.265 0.265
O: 0.361 0.361 0.890
O: 0.361 0.890 0.361
O: 0.451 0.981 0.981
O: 0.467 0.467 0.467
O: 0.573 0.077 0.573
O: 0.573 0.573 0.077
O: 0.671 0.671 0.671
O: 0.770 0.262 0.770
O: 0.770 0.770 0.262
O: 0.874 0.874 0.874
O: 0.890 0.361 0.361
O: 0.981 0.451 0.981
O: 0.981 0.981 0.451

Largest 10 diffraction maxima, most intense first, 2θ from 10° to 80°:
d (Å), 2theta, I/Imax
1.994, 45.5, 100
2.535, 35.4, 95
1.413, 66.1, 93
5.734, 15.5, 83
2.635, 34.0, 71
1.407, 66.4, 60
2.826, 31.7, 54
2.354, 38.2, 52
2.814, 31.8, 50
4.254, 20.9, 39

=====

Record 4
Simulated powder diffractogram
Compound: ThSi2Ru2
Radiation: Cu Kα
Structure: a PBE-relaxed structure
Kinematic intensities with the Lorentz-polarization factor, no thermal factor.

Cell and atoms:
Cell lengths 5.725, 5.725, 5.725 Å; angles 136.70, 136.70, 62.90 degrees
Positions (direct):
Th: 0.000 0.000 0.000
Si: 0.368 0.368 0.000
Si: 0.632 0.632 0.000
Ru: 0.250 0.750 0.500
Ru: 0.750 0.250 0.500

Largest 10 diffraction maxima, most intense first, 2θ from 10° to 80°:
d (Å), 2theta, I/Imax
2.548, 35.2, 100
3.877, 22.9, 54
2.579, 34.8, 41
2.112, 42.8, 38
1.288, 73.5, 24
1.634, 56.3, 21
1.597, 57.7, 19
1.429, 65.3, 18
2.442, 36.8, 17
1.855, 49.1, 15

=====

Record 5
Simulated powder diffractogram
Compound: ErAlFe
Radiation: Cu Kα
Structure: a PBE-relaxed structure
Kinematic intensities with the Lorentz-polarization factor, no thermal factor.

Cell and atoms:
Cell lengths 8.674, 5.290, 5.290 Å; angles 60.97, 90.00, 90.00 degrees
Positions (direct):
Er: 0.176 0.000 0.000
Er: 0.304 0.336 0.336
Er: 0.696 0.336 0.336
Er: 0.824 0.000 0.000
Al: 0.236 0.674 0.674
Al: 0.500 0.329 0.835
Al: 0.500 0.835 0.329
Al: 0.764 0.674 0.674
Fe: 0.000 0.022 0.491
Fe: 0.000 0.491 0.022
Fe: 0.000 0.496 0.496
Fe: 0.500 0.836 0.836

Largest 10 diffraction maxima, most intense first, 2θ from 10° to 80°:
d (Å), 2theta, I/Imax
2.452, 36.7, 100
2.258, 39.9, 76
2.645, 33.9, 54
2.235, 40.4, 42
2.282, 39.5, 40
2.442, 36.8, 40
2.684, 33.4, 35
4.626, 19.2, 30
3.164, 28.2, 24
4.559, 19.5, 23